No. 1
LiAlVO4: calculated powder X-ray diffraction pattern (CuKα), based on DFT lattice parameters and positions (PBE+U).
Peak positions follow from Bragg's law for the DFT cell and can differ from measured ones.

Atomic structure:
Unit cell a=8.7300 b=8.7300 c=8.7300 alpha=107.54 beta=107.54 gamma=107.54
Sites, in units of the cell vectors:
Li1 0.0185 0.1914 0.7901
Li2 0.1914 0.7901 0.0185
Li3 0.3089 0.7044 0.4804
Li4 0.4804 0.3089 0.7044
Li5 0.7044 0.4804 0.3089
Li6 0.7901 0.0185 0.1914
Al1 0.1542 0.9710 0.3829
Al2 0.3829 0.1542 0.9710
Al3 0.4594 0.6838 0.8630
Al4 0.6838 0.8630 0.4594
Al5 0.8630 0.4594 0.6838
Al6 0.9710 0.3829 0.1542
V1 0.0455 0.8169 0.6404
V2 0.1202 0.3506 0.5282
V3 0.3506 0.5282 0.1202
V4 0.5282 0.1202 0.3506
V5 0.6404 0.0455 0.8169
V6 0.8169 0.6404 0.0455
O1 0.9999 0.3465 0.6659
O2 0.1667 0.8404 0.5046
O3 0.1979 0.5235 0.2257
O4 0.2139 0.9320 0.8719
O5 0.2257 0.1979 0.5235
O6 0.2755 0.2983 0.9645
O7 0.2974 0.5796 0.6379
O8 0.2983 0.9645 0.2755
O9 0.3465 0.6659 0.9999
O10 0.5046 0.1667 0.8404
O11 0.5235 0.2257 0.1979
O12 0.5601 0.8875 0.5878
O13 0.5796 0.6379 0.2974
O14 0.5878 0.5601 0.8875
O15 0.6100 0.9064 0.9369
O16 0.6379 0.2974 0.5796
O17 0.6659 0.9999 0.3465
O18 0.8404 0.5046 0.1667
O19 0.8719 0.2139 0.9320
O20 0.8875 0.5878 0.5601
O21 0.9064 0.9369 0.6100
O22 0.9320 0.8719 0.2139
O23 0.9369 0.6100 0.9064
O24 0.9645 0.2755 0.2983

Most intense lines, 10° ≤ 2θ ≤ 90°, by angle:
2θ/deg	I/Imax
21.4	100
25.3	86
30.9	86
33.7	76
48.2	36
64.7	51

No. 2
Li3CrB2O6: calculated powder X-ray diffraction pattern (CuKα), based on DFT lattice parameters and positions (PBE+U).
Peak positions follow from Bragg's law for the DFT cell and can differ from measured ones.

Atomic structure:
Unit cell a=5.2568 b=5.8194 c=7.4705 alpha=79.47 beta=88.51 gamma=87.65
Sites, in units of the cell vectors:
Li1 0.1130 0.2420 0.4528
Li2 0.1831 0.9833 0.7662
Li3 0.2968 0.1615 0.1338
Li4 0.7032 0.8385 0.8662
Li5 0.8169 0.0167 0.2338
Li6 0.8870 0.7580 0.5472
Cr1 0.3970 0.4634 0.7976
Cr2 0.6030 0.5366 0.2024
B1 0.1550 0.6325 0.1038
B2 0.3349 0.8104 0.4336
B3 0.6651 0.1896 0.5664
B4 0.8450 0.3675 0.8962
O1 0.0923 0.2913 0.9212
O2 0.1579 0.9550 0.3339
O3 0.2406 0.4616 0.2454
O4 0.2618 0.7119 0.6110
O5 0.3575 0.7187 0.9800
O6 0.4194 0.2240 0.6381
O7 0.5806 0.7760 0.3619
O8 0.6425 0.2813 0.0200
O9 0.7382 0.2881 0.3890
O10 0.7594 0.5384 0.7546
O11 0.8421 0.0450 0.6661
O12 0.9077 0.7087 0.0788

Most intense lines, 10° ≤ 2θ ≤ 90°, by angle:
2θ/deg	I/Imax
15.5	100
16.9	41
21.4	52
22.6	37
35.8	32
36.1	94

No. 3
V4O5F7: calculated powder X-ray diffraction pattern (CuKα), based on DFT lattice parameters and positions (PBE+U).
Peak positions follow from Bragg's law for the DFT cell and can differ from measured ones.

Atomic structure:
Unit cell a=5.2689 b=5.4196 c=7.5232 alpha=88.04 beta=89.88 gamma=89.69
Sites, in units of the cell vectors:
V1 0.0000 0.0000 0.0000
V2 0.0019 0.0616 0.5095
V3 0.4932 0.4951 0.0118
V4 0.5046 0.5703 0.5241
O1 0.2412 0.8066 0.9675
O2 0.2419 0.2491 0.5429
O3 0.5432 0.5380 0.7460
O4 0.6851 0.2508 0.0344
O5 0.6852 0.8120 0.4688
F1 0.0498 0.0352 0.2545
F2 0.1783 0.3139 0.9594
F3 0.1839 0.7419 0.5426
F4 0.3893 0.5272 0.2624
F5 0.7421 0.3189 0.4585
F6 0.7440 0.7503 0.0588
F7 0.8750 0.0253 0.7537

Most intense lines, 10° ≤ 2θ ≤ 90°, by angle:
2θ/deg	I/Imax
23.5	50
23.6	100
33.1	10
34.0	12
48.4	22
55.1	13

No. 4
SrCr2BiO6: calculated powder X-ray diffraction pattern (CuKα), based on DFT lattice parameters and positions (PBE+U).
Peak positions follow from Bragg's law for the DFT cell and can differ from measured ones.

Atomic structure:
Unit cell a=5.6136 b=5.6136 c=5.6136 alpha=59.42 beta=59.42 gamma=59.42
Sites, in units of the cell vectors:
Sr1 0.0000 0.0000 0.0000
Cr1 0.2537 0.2537 0.2537
Cr2 0.7565 0.7565 0.7565
Bi1 0.4737 0.4737 0.4737
O1 0.0353 0.5671 0.4496
O2 0.0911 0.5096 0.9265
O3 0.4496 0.0353 0.5671
O4 0.5096 0.9265 0.0911
O5 0.5671 0.4496 0.0353
O6 0.9265 0.0911 0.5096

Most intense lines, 10° ≤ 2θ ≤ 90°, by angle:
2θ/deg	I/Imax
19.5	37
22.5	50
31.9	96
32.2	100
45.9	52
57.2	39

No. 5
UW3O11: calculated powder X-ray diffraction pattern (CuKα), based on DFT lattice parameters and positions (PBE+U).
Peak positions follow from Bragg's law for the DFT cell and can differ from measured ones.

Atomic structure:
Unit cell a=7.6230 b=3.9266 c=14.1926 alpha=90.00 beta=90.00 gamma=90.00
Sites, in units of the cell vectors:
U1 0.2500 0.0000 0.0177
U2 0.7500 0.0000 0.9823
W1 0.0000 0.0000 0.5000
W2 0.0010 0.0000 0.7674
W3 0.4990 0.0000 0.7674
W4 0.5000 0.0000 0.5000
W5 0.5010 0.0000 0.2326
W6 0.9990 0.0000 0.2326
O1 0.0004 0.5000 0.2287
O2 0.0000 0.5000 0.5000
O3 0.9996 0.5000 0.7713
O4 0.0384 0.0000 0.9100
O5 0.0420 0.0000 0.3625
O6 0.2500 0.0000 0.1943
O7 0.2500 0.0000 0.5211
O8 0.2500 0.0000 0.7514
O9 0.2500 0.5000 0.0379
O10 0.4580 0.0000 0.3625
O11 0.4616 0.0000 0.9100
O12 0.4996 0.5000 0.2287
O13 0.5000 0.5000 0.5000
O14 0.5004 0.5000 0.7713
O15 0.5384 0.0000 0.0900
O16 0.5420 0.0000 0.6375
O17 0.7500 0.0000 0.2486
O18 0.7500 0.0000 0.4789
O19 0.7500 0.0000 0.8057
O20 0.7500 0.5000 0.9621
O21 0.9580 0.0000 0.6375
O22 0.9616 0.0000 0.0900

Most intense lines, 10° ≤ 2θ ≤ 90°, by angle:
2θ/deg	I/Imax
22.6	100
24.2	36
25.1	65
26.5	32
30.1	37
34.1	43

No. 6
V3CuO8: calculated powder X-ray diffraction pattern (CuKα), based on DFT lattice parameters and positions (PBE+U).
Peak positions follow from Bragg's law for the DFT cell and can differ from measured ones.

Atomic structure:
Unit cell a=8.2738 b=8.2738 c=8.2738 alpha=90.00 beta=90.00 gamma=90.00
Sites, in units of the cell vectors:
V1 0.1100 0.3756 0.3675
V2 0.1244 0.6325 0.6100
V3 0.1325 0.8900 0.8756
V4 0.3675 0.1100 0.3756
V5 0.3756 0.3675 0.1100
V6 0.3900 0.6244 0.8675
V7 0.6100 0.1244 0.6325
V8 0.6244 0.8675 0.3900
V9 0.6325 0.6100 0.1244
V10 0.8675 0.3900 0.6244
V11 0.8756 0.1325 0.8900
V12 0.8900 0.8756 0.1325
Cu1 0.0018 0.5018 0.9982
Cu2 0.4982 0.4982 0.4982
Cu3 0.5018 0.9982 0.0018
Cu4 0.9982 0.0018 0.5018
O1 0.1008 0.8682 0.1072
O2 0.1072 0.1008 0.8682
O3 0.1091 0.3909 0.6091
O4 0.1160 0.8521 0.6431
O5 0.1318 0.6072 0.3992
O6 0.1383 0.6383 0.8617
O7 0.1431 0.3840 0.1479
O8 0.1479 0.1431 0.3840
O9 0.3521 0.8569 0.8840
O10 0.3569 0.6160 0.6479
O11 0.3617 0.3617 0.3617
O12 0.3682 0.3928 0.8992
O13 0.3840 0.1479 0.1431
O14 0.3909 0.6091 0.1091
O15 0.3928 0.8992 0.3682
O16 0.3992 0.1318 0.6072
O17 0.6008 0.6318 0.8928
O18 0.6072 0.3992 0.1318
O19 0.6091 0.1091 0.3909
O20 0.6160 0.6479 0.3569
O21 0.6318 0.8928 0.6008
O22 0.6383 0.8617 0.1383
O23 0.6431 0.1160 0.8521
O24 0.6479 0.3569 0.6160
O25 0.8521 0.6431 0.1160
O26 0.8569 0.8840 0.3521
O27 0.8617 0.1383 0.6383
O28 0.8682 0.1072 0.1008
O29 0.8840 0.3521 0.8569
O30 0.8909 0.8909 0.8909
O31 0.8928 0.6008 0.6318
O32 0.8992 0.3682 0.3928

Most intense lines, 10° ≤ 2θ ≤ 90°, by angle:
2θ/deg	I/Imax
18.6	44
21.5	33
36.0	100
43.8	31
57.9	38
63.6	46